Structure and simulated XRD peak list of KBaPO4 (DFT lattice parameters and positions (GGA-PBE); Cu Kα, 1.54184 Å).
Kinematic intensities with the Lorentz-polarization factor, no thermal factor.

Atomic structure:
Cell: 7.841 5.738 10.151 Å, 90.00 90.00 90.00°
Sites, in units of the cell vectors:
K (0.162, 0.250, 0.082)
K (0.338, 0.750, 0.582)
K (0.662, 0.250, 0.418)
K (0.838, 0.750, 0.918)
Ba (0.006, 0.750, 0.306)
Ba (0.494, 0.250, 0.806)
Ba (0.506, 0.750, 0.194)
Ba (0.994, 0.250, 0.694)
P (0.235, 0.250, 0.417)
P (0.265, 0.750, 0.917)
P (0.735, 0.250, 0.083)
P (0.765, 0.750, 0.583)
O (0.035, 0.250, 0.417)
O (0.197, 0.750, 0.062)
O (0.201, 0.527, 0.845)
O (0.201, 0.973, 0.845)
O (0.299, 0.027, 0.345)
O (0.299, 0.473, 0.345)
O (0.303, 0.250, 0.562)
O (0.465, 0.750, 0.917)
O (0.535, 0.250, 0.083)
O (0.697, 0.750, 0.438)
O (0.701, 0.527, 0.655)
O (0.701, 0.973, 0.655)
O (0.799, 0.027, 0.155)
O (0.799, 0.473, 0.155)
O (0.803, 0.250, 0.938)
O (0.965, 0.750, 0.583)

Principal peaks in the range 2θ = 10–90°, low angle first:
| 2θ/deg | d [Å] | I/Imax |
| --- | --- | --- |
| 17.76 | 4.995 | 52 |
| 26.05 | 3.421 | 49 |
| 28.76 | 3.105 | 66 |
| 28.95 | 3.084 | 100 |
| 30.68 | 2.914 | 44 |
| 31.18 | 2.869 | 46 |
| 35.46 | 2.532 | 21 |
| 40.54 | 2.225 | 37 |
| 42.93 | 2.107 | 59 |
| 52.75 | 1.735 | 22 |

=====

Structure and simulated XRD peak list of KBa2P5O15 (DFT lattice parameters and positions (GGA-PBE); Cu Kα, 1.54184 Å).
Kinematic intensities with the Lorentz-polarization factor, no thermal factor.

Atomic structure:
Cell: 8.791 7.441 13.976 Å, 90.00 128.35 90.00°
Sites, in units of the cell vectors:
K (0.000, 0.144, 0.000)
K (0.000, 0.856, 0.500)
Ba (0.182, 0.336, 0.378)
Ba (0.182, 0.664, 0.878)
Ba (0.595, 0.371, 0.290)
Ba (0.595, 0.629, 0.790)
P (0.095, 0.399, 0.608)
P (0.095, 0.601, 0.108)
P (0.385, 0.159, 0.982)
P (0.385, 0.841, 0.482)
P (0.417, 0.152, 0.782)
P (0.417, 0.848, 0.282)
P (0.764, 0.344, 0.621)
P (0.764, 0.656, 0.121)
P (0.805, 0.050, 0.185)
P (0.805, 0.950, 0.685)
O (0.201, 0.452, 0.200)
O (0.201, 0.548, 0.700)
O (0.239, 0.232, 0.644)
O (0.239, 0.768, 0.144)
O (0.277, 0.005, 0.472)
O (0.277, 0.995, 0.972)
O (0.329, 0.211, 0.852)
O (0.329, 0.789, 0.352)
O (0.361, 0.326, 0.032)
O (0.361, 0.674, 0.532)
O (0.418, 0.047, 0.270)
O (0.418, 0.953, 0.770)
O (0.580, 0.351, 0.491)
O (0.580, 0.649, 0.991)
O (0.594, 0.263, 0.830)
O (0.594, 0.737, 0.330)
O (0.611, 0.113, 0.054)
O (0.611, 0.887, 0.554)
O (0.771, 0.164, 0.687)
O (0.771, 0.836, 0.187)
O (0.817, 0.125, 0.289)
O (0.817, 0.875, 0.789)
O (0.818, 0.495, 0.707)
O (0.818, 0.505, 0.207)
O (0.940, 0.301, 0.615)
O (0.940, 0.699, 0.115)
O (0.969, 0.090, 0.182)
O (0.969, 0.910, 0.682)
O (0.997, 0.443, 0.477)
O (0.997, 0.557, 0.977)

Principal peaks in the range 2θ = 10–90°, low angle first:
| 2θ/deg | d [Å] | I/Imax |
| --- | --- | --- |
| 14.39 | 6.156 | 46 |
| 22.63 | 3.930 | 30 |
| 24.82 | 3.588 | 75 |
| 25.28 | 3.523 | 100 |
| 26.13 | 3.411 | 69 |
| 26.31 | 3.387 | 50 |
| 27.20 | 3.279 | 38 |
| 28.54 | 3.128 | 38 |
| 32.63 | 2.744 | 31 |
| 41.82 | 2.160 | 28 |

=====

Structure and simulated XRD peak list of K2Ba5Si12O30 (DFT lattice parameters and positions (GGA-PBE); Cu Kα, 1.54184 Å).
Kinematic intensities with the Lorentz-polarization factor, no thermal factor.

Atomic structure:
Cell: 12.704 12.704 8.376 Å, 91.90 91.90 35.97°
Sites, in units of the cell vectors:
K (0.051, 0.051, 0.253)
K (0.949, 0.949, 0.747)
Ba (0.197, 0.194, 0.995)
Ba (0.350, 0.354, 0.759)
Ba (0.501, 0.499, 0.500)
Ba (0.646, 0.650, 0.241)
Ba (0.806, 0.803, 0.005)
Si (0.072, 0.476, 0.331)
Si (0.102, 0.698, 0.386)
Si (0.237, 0.642, 0.051)
Si (0.302, 0.898, 0.614)
Si (0.358, 0.763, 0.949)
Si (0.486, 0.060, 0.319)
Si (0.524, 0.928, 0.669)
Si (0.643, 0.236, 0.051)
Si (0.699, 0.100, 0.387)
Si (0.764, 0.357, 0.949)
Si (0.900, 0.301, 0.613)
Si (0.940, 0.514, 0.681)
O (0.020, 0.490, 0.514)
O (0.046, 0.626, 0.314)
O (0.047, 0.481, 0.829)
O (0.081, 0.080, 0.607)
O (0.099, 0.679, 0.958)
O (0.206, 0.618, 0.554)
O (0.218, 0.782, 0.000)
O (0.230, 0.651, 0.250)
O (0.287, 0.276, 0.310)
O (0.321, 0.901, 0.042)
O (0.349, 0.770, 0.750)
O (0.374, 0.954, 0.686)
O (0.382, 0.794, 0.446)
O (0.440, 0.440, 0.000)
O (0.486, 0.048, 0.803)
O (0.510, 0.980, 0.486)
O (0.519, 0.953, 0.171)
O (0.560, 0.560, 0.000)
O (0.618, 0.206, 0.554)
O (0.635, 0.035, 0.316)
O (0.650, 0.229, 0.250)
O (0.680, 0.098, 0.958)
O (0.724, 0.713, 0.690)
O (0.771, 0.350, 0.750)
O (0.782, 0.218, 0.000)
O (0.794, 0.382, 0.446)
O (0.902, 0.320, 0.042)
O (0.920, 0.919, 0.393)
O (0.952, 0.514, 0.197)
O (0.965, 0.365, 0.684)

Principal peaks in the range 2θ = 10–90°, low angle first:
| 2θ/deg | d [Å] | I/Imax |
| --- | --- | --- |
| 16.00 | 5.541 | 27 |
| 23.82 | 3.736 | 86 |
| 26.26 | 3.394 | 100 |
| 26.87 | 3.318 | 60 |
| 28.26 | 3.158 | 17 |
| 31.86 | 2.809 | 43 |
| 34.36 | 2.610 | 16 |
| 42.06 | 2.148 | 20 |
| 42.54 | 2.125 | 18 |
| 43.41 | 2.085 | 23 |

=====

Structure and simulated XRD peak list of K4BaTa6Si4O26 (DFT lattice parameters and positions (GGA-PBE); Cu Kα, 1.54184 Å).
Kinematic intensities with the Lorentz-polarization factor, no thermal factor.

Atomic structure:
Cell: 7.872 9.167 9.167 Å, 119.63 90.00 90.00°
Sites, in units of the cell vectors:
K (0.000, 0.195, 0.805)
K (0.000, 0.805, 0.195)
K (0.500, 0.193, 0.789)
K (0.500, 0.789, 0.193)
Ba (0.500, 0.591, 0.591)
Ta (0.249, 0.193, 0.432)
Ta (0.249, 0.432, 0.193)
Ta (0.250, 0.958, 0.958)
Ta (0.750, 0.958, 0.958)
Ta (0.751, 0.193, 0.432)
Ta (0.751, 0.432, 0.193)
Si (0.208, 0.529, 0.858)
Si (0.208, 0.858, 0.529)
Si (0.792, 0.529, 0.858)
Si (0.792, 0.858, 0.529)
O (0.000, 0.190, 0.462)
O (0.000, 0.462, 0.190)
O (0.000, 0.529, 0.860)
O (0.000, 0.860, 0.529)
O (0.000, 0.931, 0.931)
O (0.238, 0.018, 0.195)
O (0.238, 0.195, 0.018)
O (0.240, 0.368, 0.368)
O (0.270, 0.011, 0.500)
O (0.270, 0.500, 0.011)
O (0.276, 0.378, 0.680)
O (0.276, 0.680, 0.378)
O (0.278, 0.708, 0.888)
O (0.278, 0.888, 0.708)
O (0.500, 0.198, 0.430)
O (0.500, 0.430, 0.198)
O (0.500, 0.963, 0.963)
O (0.722, 0.708, 0.888)
O (0.722, 0.888, 0.708)
O (0.724, 0.378, 0.680)
O (0.724, 0.680, 0.378)
O (0.730, 0.011, 0.500)
O (0.730, 0.500, 0.011)
O (0.760, 0.368, 0.368)
O (0.762, 0.018, 0.195)
O (0.762, 0.195, 0.018)

Principal peaks in the range 2θ = 10–90°, low angle first:
| 2θ/deg | d [Å] | I/Imax |
| --- | --- | --- |
| 11.13 | 7.949 | 69 |
| 19.37 | 4.583 | 53 |
| 22.59 | 3.936 | 54 |
| 25.23 | 3.530 | 31 |
| 29.61 | 3.017 | 50 |
| 29.77 | 3.001 | 94 |
| 29.90 | 2.989 | 100 |
| 37.61 | 2.391 | 37 |
| 51.41 | 1.777 | 26 |
| 55.81 | 1.647 | 34 |